# 1
This entry pairs a crystal structure of Tc2SbBr with its simulated PXRD pattern. Radiation: Cu Kα (λ = 1.5418 Å). Structure: DFT lattice parameters and positions (GGA-PBE).

Structural model:
```
Tc2SbBr
1.0
3.038 0.000 0.000
0.000 3.038 0.000
0.000 0.000 9.082
Tc Sb Br
2 1 1
direct
0.000 0.000 0.000
0.500 0.500 0.178
0.500 0.500 0.789
0.000 0.000 0.371
```

Largest 10 diffraction maxima, by angle, 10° ≤ 2θ ≤ 90°:
19.5°, intensity 8
31.0°, intensity 10
35.6°, intensity 66
42.1°, intensity 100
50.2°, intensity 11
61.0°, intensity 13
67.5°, intensity 18
72.6°, intensity 16
76.9°, intensity 19
82.8°, intensity 10

# 2
This entry pairs a crystal structure of Ba8As3O4 with its simulated PXRD pattern. Radiation: Cu Kα (λ = 1.5418 Å). Structure: DFT lattice parameters and positions (GGA-PBE).

Structural model:
```
Ba8As3O4
1.0
6.152 -6.190 0.000
6.152 6.190 0.000
-5.900 0.000 6.304
Ba As O
8 3 4
direct
0.199 0.199 0.444
0.227 0.227 0.991
0.232 0.768 0.000
0.238 0.762 0.500
0.762 0.238 0.500
0.768 0.232 0.000
0.773 0.773 0.009
0.801 0.801 0.556
0.000 0.500 0.500
0.500 0.000 0.500
0.500 0.500 0.500
0.000 0.000 0.000
0.000 0.000 0.500
0.000 0.500 0.000
0.500 0.000 0.000
```

Largest 10 diffraction maxima, by angle, 10° ≤ 2θ ≤ 90°:
24.5°, intensity 79
25.2°, intensity 87
28.3°, intensity 100
28.8°, intensity 99
29.1°, intensity 93
40.2°, intensity 29
40.9°, intensity 69
41.4°, intensity 65
41.9°, intensity 38
51.6°, intensity 37

# 3
This entry pairs a crystal structure of BiSbPdO6 with its simulated PXRD pattern. Radiation: Cu Kα (λ = 1.5418 Å). Structure: DFT lattice parameters and positions (GGA-PBE).

Structural model:
```
BiSbPdO6
1.0
5.308 0.000 0.000
-2.654 4.597 0.000
0.000 0.000 10.040
Bi Sb Pd O
2 2 2 12
direct
0.000 0.000 0.000
0.000 0.000 0.500
0.333 0.667 0.250
0.667 0.333 0.750
0.333 0.667 0.750
0.667 0.333 0.250
0.001 0.365 0.139
0.001 0.636 0.361
0.364 0.365 0.361
0.364 0.999 0.139
0.365 0.001 0.639
0.365 0.364 0.861
0.635 0.636 0.139
0.635 0.999 0.361
0.636 0.001 0.861
0.636 0.635 0.639
0.999 0.364 0.639
0.999 0.635 0.861
```

Largest 10 diffraction maxima, by angle, 10° ≤ 2θ ≤ 90°:
26.3°, intensity 100
33.8°, intensity 38
43.3°, intensity 26
50.0°, intensity 38
56.0°, intensity 25
58.7°, intensity 11
60.4°, intensity 12
77.2°, intensity 10
79.5°, intensity 9
82.2°, intensity 9

# 4
This entry pairs a crystal structure of Ho8C3Se3O with its simulated PXRD pattern. Radiation: Cu Kα (λ = 1.5418 Å). Structure: DFT lattice parameters and positions (GGA-PBE).

Structural model:
```
Ho8C3Se3O
1.0
3.693 2.132 6.444
-3.693 2.132 6.444
0.000 -4.265 6.444
Ho C Se O
8 3 3 1
direct
0.225 0.741 0.741
0.235 0.235 0.235
0.259 0.259 0.775
0.259 0.775 0.259
0.741 0.225 0.741
0.741 0.741 0.225
0.765 0.765 0.765
0.775 0.259 0.259
0.000 0.000 0.500
0.000 0.500 0.000
0.500 0.000 0.000
0.000 0.500 0.500
0.500 0.000 0.500
0.500 0.500 0.000
0.500 0.500 0.500
```

Largest 10 diffraction maxima, by angle, 10° ≤ 2θ ≤ 90°:
27.7°, intensity 16
29.4°, intensity 61
33.6°, intensity 100
36.5°, intensity 21
47.1°, intensity 27
49.3°, intensity 37
57.5°, intensity 13
61.0°, intensity 17
66.8°, intensity 16
82.2°, intensity 15

# 5
This entry pairs a crystal structure of Tb3Ho2Th3 with its simulated PXRD pattern. Radiation: Cu Kα (λ = 1.5418 Å). Structure: DFT lattice parameters and positions (GGA-PBE).

Structural model:
```
Tb3Ho2Th3
1.0
5.016 0.000 0.000
0.000 5.041 0.000
0.000 0.000 10.086
Tb Ho Th
3 2 3
direct
0.000 0.000 0.000
0.000 0.000 0.500
0.500 0.500 0.000
0.500 0.000 0.252
0.500 0.000 0.748
0.000 0.500 0.251
0.000 0.500 0.749
0.500 0.500 0.500
```

Largest 10 diffraction maxima, by angle, 10° ≤ 2θ ≤ 90°:
30.8°, intensity 100
35.6°, intensity 34
35.8°, intensity 17
51.2°, intensity 12
51.4°, intensity 24
61.0°, intensity 29
61.2°, intensity 14
64.1°, intensity 13
83.6°, intensity 6
83.8°, intensity 12

# 6
This entry pairs a crystal structure of Na2AlGaS4 with its simulated PXRD pattern. Radiation: Cu Kα (λ = 1.5418 Å). Structure: DFT lattice parameters and positions (GGA-PBE).

Structural model:
```
Na2AlGaS4
1.0
-3.164 3.164 4.647
3.164 -3.164 4.647
3.164 3.164 -4.647
Na Al Ga S
2 1 1 4
direct
0.000 0.000 0.000
0.750 0.250 0.500
0.250 0.750 0.500
0.500 0.500 0.000
0.188 0.122 0.564
0.376 0.812 0.934
0.558 0.624 0.436
0.878 0.442 0.066
```

Largest 10 diffraction maxima, by angle, 10° ≤ 2θ ≤ 90°:
16.9°, intensity 45
27.7°, intensity 100
33.1°, intensity 12
40.3°, intensity 26
43.3°, intensity 11
48.6°, intensity 35
49.6°, intensity 29
53.1°, intensity 10
63.6°, intensity 8
79.3°, intensity 8